Starting from a DFT-relaxed cell (PBE, Alexandria), the X-ray diffraction stick pattern of RbGeI2O8 was simulated for CuKα.

Lattice parameters (Å, degrees): 11.0685 5.5895 6.8722 90.00 108.64 90.00
Space group C2/m (No. 12)
Asymmetric unit:
Rb: 0.0000 0.0000 0.0000
Ge: 0.0000 0.5000 0.5000
I: 0.2153 0.0000 0.6556
O: 0.0879 0.5000 0.3089
O: 0.1063 0.2526 0.6890
O: 0.1775 0.0000 0.3822

Peak list (12 most intense, 2θ from 10° to 90°, sorted by position)
2θ (°), I (rel.), (hkl)
13.60, 70, 0 0 1
24.22, 100, 1 1 1
24.98, 26, 2 0 1
27.23, 35, 2 0 -2
29.54, 89, 3 1 -1
30.15, 15, 3 1 0
30.54, 25, 1 1 -2
32.02, 38, 0 2 0
46.23, 15, 5 1 0
47.55, 18, 4 2 0
52.67, 16, 5 1 -3
55.55, 15, 3 3 -1

***

Starting from a DFT-relaxed cell (PBE, Alexandria), the X-ray diffraction stick pattern of CuAuCl3 was simulated for CuKα.

Lattice parameters (Å, degrees): 14.0754 3.5285 10.4861 90.00 96.66 90.00
Space group C2/m (No. 12)
Asymmetric unit:
Cu: 0.1470 0.0000 0.4300
Au: 0.0358 0.5000 0.8641
Cl: 0.1087 0.5000 0.2773
Cl: 0.1456 0.0000 0.9469
Cl: 0.1598 0.5000 0.5769

Peak list (12 most intense, 2θ from 10° to 90°, sorted by position)
2θ (°), I (rel.), (hkl)
12.66, 100, 2 0 0
14.42, 50, 2 0 -1
16.07, 84, 2 0 1
20.05, 81, 2 0 -2
26.05, 64, 1 1 0
27.32, 45, 2 0 -3
27.67, 45, 1 1 1
27.85, 46, 4 0 1
31.81, 50, 3 1 0
36.34, 56, 1 1 -3
44.30, 51, 1 1 4
46.39, 41, 5 1 2

***

Starting from a DFT-relaxed cell (PBE, Alexandria), the X-ray diffraction stick pattern of PmErPS was simulated for CuKα.

Lattice parameters (Å, degrees): 3.9970 3.9970 19.7332 90.00 90.00 120.00
Space group R3m (No. 160, hexagonal axes)
Asymmetric unit:
Pm: 0.0000 0.0000 0.0000
Er: 0.0000 0.0000 0.4942
P: 0.0000 0.0000 0.7510
S: 0.0000 0.0000 0.2430

Peak list (12 most intense, 2θ from 10° to 90°, sorted by position)
2θ (°), I (rel.), (hkl)
27.11, 21, 0 0 6
27.30, 62, 0 1 2
31.57, 100, 1 0 4
45.14, 36, 0 1 8
45.38, 36, 1 1 0
53.67, 20, 1 1 6
53.77, 10, 2 0 2
56.33, 19, 0 2 4
65.93, 12, 2 0 8
74.76, 16, 1 1 12
75.12, 16, 2 1 4
83.67, 12, 1 2 8

***

Starting from a DFT-relaxed cell (PBE, Alexandria), the X-ray diffraction stick pattern of Mn3V4Co was simulated for CuKα.

Lattice parameters (Å, degrees): 2.8893 4.0698 8.1104 90.00 90.00 90.00
Space group Pmmm (No. 47)
Asymmetric unit:
Mn: 0.0000 0.0000 0.0000
Mn: 0.0000 0.5000 0.2522
V: 0.5000 0.0000 0.2467
V: 0.5000 0.5000 0.0000
V: 0.5000 0.5000 0.5000
Co: 0.0000 0.0000 0.5000

Peak list (9 most intense, 2θ from 10° to 90°, sorted by position)
2θ (°), I (rel.), (hkl)
31.13, 1, 0 1 2
44.48, 100, 1 1 2
44.69, 20, 0 0 4
64.50, 6, 2 0 0
64.92, 12, 0 2 4
81.76, 6, 2 2 0
81.88, 6, 2 0 4
81.98, 11, 1 3 2
82.22, 11, 1 1 6